Theoretical XRD peak list
Compound: Hf2Cd7
Radiation: Cu Kα X-rays
Structure: a DFT-relaxed cell (PBE, Alexandria)

Principal peaks in the range 2θ from 10° to 90°, in order of falling intensity:
- 2θ = 34.6°, I 1000
- 2θ = 40.6°, I 651
- 2θ = 35.8°, I 302
- 2θ = 70.0°, I 243
- 2θ = 57.9°, I 218
- 2θ = 59.5°, I 201

Cell and atoms:
```
Hf2Cd7
1.0
5.5149 0.0000 0.0000
-2.7574 4.7760 0.0000
0.0000 0.0000 7.5291
Hf Cd
2 7
direct
0.3333 0.6667 0.0000
0.6667 0.3333 0.0000
0.0000 0.0000 0.0000
0.0000 0.3329 0.6696
0.0000 0.6671 0.3304
0.3329 0.0000 0.6696
0.3329 0.3329 0.3304
0.6671 0.0000 0.3304
0.6671 0.6671 0.6696
```

Theoretical XRD peak list
Compound: Hf5Cd3
Radiation: Cu Kα X-rays
Structure: a DFT-relaxed cell (PBE, Alexandria)

Principal peaks in the range 2θ from 10° to 90°, in order of falling intensity:
- 2θ = 35.0°, I 1000
- 2θ = 39.9°, I 347
- 2θ = 59.3°, I 216
- 2θ = 42.0°, I 151
- 2θ = 69.3°, I 136
- 2θ = 69.4°, I 133

Cell and atoms:
```
Hf5Cd3
1.0
3.1992 0.0000 0.0000
0.0000 6.3714 0.0000
0.0000 0.0000 8.6100
Hf Cd
5 3
direct
0.0000 0.0000 0.0000
0.0000 0.0000 0.4953
0.0000 0.5000 0.9962
0.5000 0.2419 0.2455
0.5000 0.7581 0.2455
0.0000 0.5000 0.4986
0.5000 0.2489 0.7436
0.5000 0.7511 0.7436
```

Theoretical XRD peak list
Compound: Hf2Cd3Hg3
Radiation: Cu Kα X-rays
Structure: a DFT-relaxed cell (PBE, Alexandria)

Principal peaks in the range 2θ from 10° to 90°, in order of falling intensity:
- 2θ = 35.0°, I 1000
- 2θ = 35.9°, I 483
- 2θ = 39.2°, I 405
- 2θ = 31.6°, I 391
- 2θ = 39.6°, I 375
- 2θ = 22.6°, I 161

Cell and atoms:
```
Hf2Cd3Hg3
1.0
3.9393 2.2743 3.3733
-3.9393 2.2743 3.3733
0.0000 -4.5487 3.3733
Hf Cd Hg
2 3 3
direct
0.2131 0.2131 0.2131
0.7869 0.7869 0.7869
0.2669 0.5000 0.7331
0.5000 0.7331 0.2669
0.7331 0.2669 0.5000
0.0000 0.7223 0.2777
0.2777 0.0000 0.7223
0.7223 0.2777 0.0000
```

Theoretical XRD peak list
Compound: Hf4CdHg
Radiation: Cu Kα X-rays
Structure: a DFT-relaxed cell (PBE, Alexandria)

Principal peaks in the range 2θ from 10° to 90°, in order of falling intensity:
- 2θ = 35.0°, I 1000
- 2θ = 41.2°, I 323
- 2θ = 71.2°, I 257
- 2θ = 58.5°, I 225
- 2θ = 39.6°, I 175
- 2θ = 68.9°, I 133

Cell and atoms:
```
Hf4CdHg
1.0
3.0956 0.0000 0.0000
0.0000 3.0956 0.0000
0.0000 0.0000 13.6701
Hf Cd Hg
4 1 1
direct
0.0000 0.0000 0.1677
0.0000 0.0000 0.8323
0.5000 0.5000 0.3253
0.5000 0.5000 0.6747
0.0000 0.0000 0.5000
0.5000 0.5000 0.0000
```

Theoretical XRD peak list
Compound: HfCdInHg
Radiation: Cu Kα X-rays
Structure: a DFT-relaxed cell (PBE, Alexandria)

Principal peaks in the range 2θ from 10° to 90°, in order of falling intensity:
- 2θ = 35.2°, I 1000
- 2θ = 40.1°, I 175
- 2θ = 41.0°, I 164
- 2θ = 41.6°, I 158
- 2θ = 69.8°, I 136
- 2θ = 71.0°, I 129

Cell and atoms:
```
HfCdInHg
1.0
4.3441 0.0000 0.0000
0.0000 4.3997 0.0000
0.0000 0.0000 4.4944
Hf Cd In Hg
1 1 1 1
direct
0.0000 0.0000 0.0000
0.0000 0.5000 0.5000
0.5000 0.5000 0.0000
0.5000 0.0000 0.5000
```

Theoretical XRD peak list
Compound: HfCdIO2
Radiation: Cu Kα X-rays
Structure: a DFT-relaxed cell (PBE, Alexandria)

Principal peaks in the range 2θ from 10° to 90°, in order of falling intensity:
- 2θ = 30.5°, I 1000
- 2θ = 42.9°, I 800
- 2θ = 29.4°, I 772
- 2θ = 21.5°, I 570
- 2θ = 26.0°, I 559
- 2θ = 53.6°, I 551

Cell and atoms:
```
HfCdIO2
1.0
4.1398 0.0000 0.0000
0.0000 4.1398 0.0000
0.0000 0.0000 6.0753
Hf Cd I O
1 1 1 2
direct
0.0000 0.0000 0.0000
0.5000 0.5000 0.5000
0.0000 0.0000 0.5000
0.0000 0.5000 0.0000
0.5000 0.0000 0.0000
```

Theoretical XRD peak list
Compound: Hf15CdIn4
Radiation: Cu Kα X-rays
Structure: a DFT-relaxed cell (PBE, Alexandria)

Principal peaks in the range 2θ from 10° to 90°, in order of falling intensity:
- 2θ = 35.1°, I 1000
- 2θ = 40.8°, I 498
- 2θ = 70.6°, I 394
- 2θ = 59.0°, I 336
- 2θ = 74.2°, I 114
- 2θ = 88.3°, I 57

Cell and atoms:
```
Hf15CdIn4
1.0
4.4253 0.0000 0.0000
0.0000 4.4253 0.0000
0.0000 0.0000 22.1345
Hf Cd In
15 1 4
direct
0.0000 0.0000 0.0000
0.0000 0.0000 0.1995
0.0000 0.0000 0.3998
0.0000 0.0000 0.6002
0.0000 0.0000 0.8005
0.0000 0.5000 0.0997
0.0000 0.5000 0.2999
0.0000 0.5000 0.5000
0.0000 0.5000 0.7001
0.0000 0.5000 0.9003
0.5000 0.0000 0.0997
0.5000 0.0000 0.2999
0.5000 0.0000 0.5000
0.5000 0.0000 0.7001
0.5000 0.0000 0.9003
0.5000 0.5000 0.0000
0.5000 0.5000 0.1994
0.5000 0.5000 0.3999
0.5000 0.5000 0.6001
0.5000 0.5000 0.8006
```

Theoretical XRD peak list
Compound: HfZrCdIn
Radiation: Cu Kα X-rays
Structure: a DFT-relaxed cell (PBE, Alexandria)

Principal peaks in the range 2θ from 10° to 90°, in order of falling intensity:
- 2θ = 35.1°, I 1000
- 2θ = 40.5°, I 168
- 2θ = 40.8°, I 165
- 2θ = 41.1°, I 161
- 2θ = 70.2°, I 128
- 2θ = 70.6°, I 126

Cell and atoms:
```
HfZrCdIn
1.0
4.3917 0.0000 0.0000
0.0000 4.4284 0.0000
0.0000 0.0000 4.4551
Hf Zr Cd In
1 1 1 1
direct
0.0000 0.0000 0.0000
0.5000 0.0000 0.5000
0.5000 0.5000 0.0000
0.0000 0.5000 0.5000
```

Theoretical XRD peak list
Compound: HfCdIrO6
Radiation: Cu Kα X-rays
Structure: a DFT-relaxed cell (PBE, Alexandria)

Principal peaks in the range 2θ from 10° to 90°, in order of falling intensity:
- 2θ = 25.8°, I 1000
- 2θ = 33.2°, I 885
- 2θ = 50.5°, I 668
- 2θ = 36.9°, I 265
- 2θ = 64.1°, I 186
- 2θ = 60.0°, I 169

Cell and atoms:
```
HfCdIrO6
1.0
4.8759 0.0000 0.0000
0.0000 4.8759 0.0000
0.0000 0.0000 9.7065
Hf Cd Ir O
2 2 2 12
direct
0.0000 0.0000 0.0000
0.5000 0.5000 0.5000
0.0000 0.0000 0.3320
0.5000 0.5000 0.8320
0.0000 0.0000 0.6660
0.5000 0.5000 0.1660
0.1782 0.1782 0.8245
0.2032 0.2032 0.5233
0.2232 0.2232 0.1499
0.2768 0.7232 0.6499
0.2968 0.7032 0.0233
0.3218 0.6782 0.3245
0.6782 0.3218 0.3245
0.7032 0.2968 0.0233
0.7232 0.2768 0.6499
0.7768 0.7768 0.1499
0.7968 0.7968 0.5233
0.8218 0.8218 0.8245
```

Theoretical XRD peak list
Compound: Li4HfCd5
Radiation: Cu Kα X-rays
Structure: a DFT-relaxed cell (PBE, Alexandria)

Principal peaks in the range 2θ from 10° to 90°, in order of falling intensity:
- 2θ = 36.6°, I 1000
- 2θ = 41.6°, I 364
- 2θ = 72.7°, I 256
- 2θ = 29.1°, I 236
- 2θ = 21.8°, I 222
- 2θ = 62.5°, I 211

Cell and atoms:
```
Li4HfCd5
1.0
3.0710 0.0000 0.0000
0.0000 3.0710 0.0000
0.0000 0.0000 20.3668
Li Hf Cd
4 1 5
direct
0.0000 0.0000 0.0983
0.0000 0.0000 0.2918
0.0000 0.0000 0.7082
0.0000 0.0000 0.9017
0.0000 0.0000 0.5000
0.5000 0.5000 0.0000
0.5000 0.5000 0.1958
0.5000 0.5000 0.3891
0.5000 0.5000 0.6109
0.5000 0.5000 0.8042
```

Theoretical XRD peak list
Compound: LuHfCdRe
Radiation: Cu Kα X-rays
Structure: a DFT-relaxed cell (PBE, Alexandria)

Principal peaks in the range 2θ from 10° to 90°, in order of falling intensity:
- 2θ = 37.1°, I 1000
- 2θ = 66.9°, I 357
- 2θ = 53.5°, I 175
- 2θ = 79.0°, I 112
- 2θ = 22.5°, I 26
- 2θ = 43.8°, I 15

Cell and atoms:
```
LuHfCdRe
1.0
6.8529 0.0000 0.0000
0.0000 6.8529 0.0000
0.0000 0.0000 6.8529
Lu Hf Cd Re
4 4 4 4
direct
0.0000 0.0000 0.0000
0.0000 0.5000 0.5000
0.5000 0.0000 0.5000
0.5000 0.5000 0.0000
0.0000 0.0000 0.5000
0.0000 0.5000 0.0000
0.5000 0.0000 0.0000
0.5000 0.5000 0.5000
0.2500 0.2500 0.2500
0.2500 0.7500 0.7500
0.7500 0.2500 0.7500
0.7500 0.7500 0.2500
0.2500 0.2500 0.7500
0.2500 0.7500 0.2500
0.7500 0.2500 0.2500
0.7500 0.7500 0.7500
```

Theoretical XRD peak list
Compound: HfMg2Cd
Radiation: Cu Kα X-rays
Structure: a DFT-relaxed cell (PBE, Alexandria)

Principal peaks in the range 2θ from 10° to 90°, in order of falling intensity:
- 2θ = 17.0°, I 1000
- 2θ = 36.3°, I 689
- 2θ = 39.0°, I 577
- 2θ = 33.4°, I 501
- 2θ = 34.5°, I 370
- 2θ = 70.5°, I 268

Cell and atoms:
```
HfMg2Cd
1.0
3.1137 0.0000 0.0000
-1.5568 2.6965 0.0000
0.0000 0.0000 31.2197
Hf Mg Cd
3 6 3
direct
0.0000 0.0000 0.0000
0.3333 0.6667 0.6667
0.6667 0.3333 0.3333
0.0000 0.0000 0.2494
0.0000 0.0000 0.4184
0.3333 0.6667 0.0851
0.3333 0.6667 0.9160
0.6667 0.3333 0.5827
0.6667 0.3333 0.7518
0.0000 0.0000 0.8343
0.3333 0.6667 0.5010
0.6667 0.3333 0.1677
```

Theoretical XRD peak list
Compound: HfMg14Cd
Radiation: Cu Kα X-rays
Structure: a DFT-relaxed cell (PBE, Alexandria)

Principal peaks in the range 2θ from 10° to 90°, in order of falling intensity:
- 2θ = 37.0°, I 1000
- 2θ = 16.0°, I 688
- 2θ = 23.7°, I 517
- 2θ = 32.4°, I 323
- 2θ = 35.2°, I 244
- 2θ = 33.1°, I 232

Cell and atoms:
```
HfMg14Cd
1.0
6.3805 0.0000 0.0000
-3.1903 5.5257 0.0000
0.0000 0.0000 10.1969
Hf Mg Cd
1 14 1
direct
0.0000 0.0000 0.0000
0.0062 0.5031 0.0000
0.1627 0.3253 0.2470
0.1627 0.3253 0.7530
0.1627 0.8373 0.2470
0.1627 0.8373 0.7530
0.4969 0.5031 0.0000
0.4969 0.9938 0.0000
0.5009 0.0019 0.5000
0.5009 0.4991 0.5000
0.6667 0.3333 0.2423
0.6667 0.3333 0.7577
0.6747 0.8373 0.2470
0.6747 0.8373 0.7530
0.9981 0.4991 0.5000
0.0000 0.0000 0.5000
```

Theoretical XRD peak list
Compound: HfMgCd2
Radiation: Cu Kα X-rays
Structure: a DFT-relaxed cell (PBE, Alexandria)

Principal peaks in the range 2θ from 10° to 90°, in order of falling intensity:
- 2θ = 34.9°, I 1000
- 2θ = 36.3°, I 896
- 2θ = 39.2°, I 691
- 2θ = 36.2°, I 477
- 2θ = 35.3°, I 447
- 2θ = 59.0°, I 438

Cell and atoms:
```
HfMgCd2
1.0
5.4427 0.0000 0.0000
0.0000 3.1049 0.0000
-1.8931 0.0000 10.2702
Hf Mg Cd
2 2 4
direct
0.0000 0.0000 0.0000
0.5000 0.5000 0.0000
0.1708 0.0000 0.4991
0.6708 0.5000 0.4991
0.0857 0.5000 0.7470
0.2560 0.5000 0.2529
0.5857 0.0000 0.7470
0.7560 0.0000 0.2529
```

Theoretical XRD peak list
Compound: Hf2ScCdN
Radiation: Cu Kα X-rays
Structure: a DFT-relaxed cell (PBE, Alexandria)

Principal peaks in the range 2θ from 10° to 90°, in order of falling intensity:
- 2θ = 34.9°, I 1000
- 2θ = 40.6°, I 364
- 2θ = 70.2°, I 259
- 2θ = 58.5°, I 244
- 2θ = 40.3°, I 186
- 2θ = 19.8°, I 171

Cell and atoms:
```
Hf2ScCdN
1.0
4.4428 0.0000 0.0000
0.0000 4.4428 0.0000
0.0000 0.0000 4.4801
Hf Sc Cd N
2 1 1 1
direct
0.0000 0.5000 0.0000
0.5000 0.0000 0.0000
0.0000 0.0000 0.5000
0.5000 0.5000 0.5000
0.0000 0.0000 0.0000
```